No. 1
Computed powder diffraction line list
Compound: Li4FeTeW2O12
Radiation: a wavelength of 1.5418 Å
Structure: the GGA+U geometry in the Materials Project
Neutral-atom scattering factors, no anomalous dispersion.

Crystal structure
Unit cell a=5.208 b=5.494 c=7.588 alpha=85.69 beta=89.88 gamma=89.86
Fractional coordinates of all 20 atoms:
1 Li 0.000 0.000 0.000
2 Li 0.007 0.992 0.538
3 Li 0.493 0.409 0.967
4 Li 0.505 0.467 0.539
5 Fe 0.000 0.426 0.736
6 Te 0.504 0.917 0.240
7 W 0.005 0.419 0.236
8 W 0.498 0.912 0.737
9 O 0.116 0.386 0.992
10 O 0.174 0.089 0.294
11 O 0.208 0.717 0.666
12 O 0.304 0.202 0.671
13 O 0.320 0.577 0.297
14 O 0.371 0.901 0.980
15 O 0.635 0.904 0.485
16 O 0.679 0.601 0.782
17 O 0.692 0.223 0.160
18 O 0.798 0.094 0.785
19 O 0.833 0.722 0.165
20 O 0.879 0.400 0.469

Top 6 peaks for 2θ = 10–90°, by angle:
2θ/deg	intensity
20.71	15
23.55	100
32.63	27
32.69	13
34.43	27
53.01	14

No. 2
Computed powder diffraction line list
Compound: Sr4MgMn2Cl2O6
Radiation: a wavelength of 1.5418 Å
Structure: the GGA+U geometry in the Materials Project
Neutral-atom scattering factors, no anomalous dispersion.

Crystal structure
Unit cell a=3.973 b=3.973 c=18.054 alpha=90.00 beta=90.00 gamma=90.00
Fractional coordinates of all 15 atoms:
1 Sr 0.000 0.000 0.000
2 Sr 0.000 0.000 0.201
3 Sr 0.500 0.500 0.451
4 Sr 0.500 0.500 0.856
5 Mg 0.500 0.500 0.677
6 Mn 0.000 0.000 0.741
7 Mn 0.500 0.500 0.100
8 Cl 0.000 0.000 0.417
9 Cl 0.500 0.500 0.289
10 O 0.000 0.000 0.860
11 O 0.000 0.500 0.120
12 O 0.000 0.500 0.711
13 O 0.500 0.000 0.120
14 O 0.500 0.000 0.711
15 O 0.500 0.500 0.984

Top 6 peaks for 2θ = 10–90°, by angle:
2θ/deg	intensity
14.72	32
29.96	45
31.85	100
33.54	84
45.67	54
57.83	34